No. 1
Structure and computed powder X-ray diffraction pattern of Rb2Ta4Se7 (a DFT-relaxed cell (PBE, Alexandria); a wavelength of 1.5418 Å).
Intensities are scaled so that the largest is 100.

Largest 8 diffraction maxima, in order of rising 2θ, 2θ = 10–90°:
2θ (°)  I (rel.)  h k l
28.19  79.5  1 1 0
29.77  44.2  1 1 1
32.83  31.2  1 0 3
34.11  100.0  1 1 2
41.69  28.0  1 0 4
43.81  38.9  2 0 3
49.91  48.4  3 0 0
52.92  22.7  3 -1 3

Structure:
```
data_Rb2Ta4Se7
_chemical_formula_sum 'Rb2 Ta4 Se7'
_space_group_name_H-M_alt 'P -3 1 m'
_space_group_IT_number 162
_space_group_name_Hall '-P 3 2'
_cell_length_a 6.3302
_cell_length_b 6.3302
_cell_length_c 9.4344
_cell_angle_alpha 90.00
_cell_angle_beta 90.00
_cell_angle_gamma 120.00
loop_
_atom_site_label
_atom_site_fract_x
_atom_site_fract_y
_atom_site_fract_z
Rb1 0.3333 0.6667 0.0000
Ta1 0.0000 0.0000 0.3611
Ta2 0.3333 0.6667 0.5000
Se1 0.0000 0.0000 0.0000
Se2 0.0000 0.3890 0.3080
```

No. 2
Structure and computed powder X-ray diffraction pattern of InBIr (a DFT-relaxed cell (PBE, Alexandria); a wavelength of 1.5418 Å).
Intensities are scaled so that the largest is 100.

Largest 8 diffraction maxima, in order of rising 2θ, 2θ = 10–90°:
2θ (°)  I (rel.)  h k l
21.90  24.7  0 0 2
34.29  100.0  0 1 2
35.09  94.5  1 0 2
37.94  88.5  1 1 0
44.23  21.1  1 1 2
60.00  21.2  1 1 4
65.70  30.2  1 2 2
67.19  28.2  2 1 2

Structure:
```
data_InBIr
_chemical_formula_sum 'In2 B2 Ir2'
_space_group_name_H-M_alt 'P m m n'
_space_group_IT_number 59
_cell_length_a 3.293
_cell_length_b 3.419
_cell_length_c 8.117
_cell_angle_alpha 90.00
_cell_angle_beta 90.00
_cell_angle_gamma 90.00
loop_
_space_group_symop_operation_xyz
'x,y,z'
'-x,-y,-z'
'-x+1/2,-y+1/2,z'
'x+1/2,y+1/2,-z'
'x+1/2,-y,-z'
'-x+1/2,y,z'
'-x,y+1/2,-z'
'x,-y+1/2,z'
loop_
_atom_site_label
_atom_site_fract_x
_atom_site_fract_y
_atom_site_fract_z
In1 0.250 0.250 0.141
B1 0.250 0.750 0.504
Ir1 0.250 0.250 0.668
```